The following is a calculated powder diffraction line list of RbNbCl6. It was derived from a cell relaxed with GGA-PBE, using CuKα.
Kinematic intensities with the Lorentz-polarization factor, no thermal factor.

Structural model:
Cell: 7.027 7.027 12.630 Å, 100.73 100.73 55.41°
Sites, in units of the cell vectors:
Rb1 0.119 0.881 0.750
Rb2 0.881 0.119 0.250
Nb1 0.000 0.500 0.000
Nb2 0.500 0.000 0.500
Cl1 0.107 0.204 0.540
Cl2 0.200 0.371 0.842
Cl3 0.204 0.107 0.040
Cl4 0.299 0.537 0.103
Cl5 0.371 0.200 0.342
Cl6 0.463 0.701 0.397
Cl7 0.537 0.299 0.603
Cl8 0.629 0.800 0.658
Cl9 0.701 0.463 0.897
Cl10 0.796 0.893 0.960
Cl11 0.800 0.629 0.158
Cl12 0.893 0.796 0.460

Peak list (6 most intense, 10 to 80 degrees two-theta, low angle first)
2θ (°)	d (Å)	intensity
17.64	5.029	1000
18.20	4.875	550
31.20	2.867	699
31.49	2.841	567
31.93	2.803	553
40.96	2.203	473